The following is a calculated X-ray powder pattern of H12AuC4N. It was derived from a crystal structure in Alexandria, relaxed with GGA-PBE, using λ = 1.5418 Å (Cu Kα).
No peak broadening, texture or thermal motion is included.

Top 10 peaks for 2θ = 10–90°, low angle first:
hkl, two_theta, I/Imax
1 1 0, 16.0, 62.0
1 0 1, 19.3, 98.7
1 1 1, 22.4, 47.7
2 0 0, 22.7, 69.5
2 1 1, 30.0, 100.0
1 0 2, 33.5, 34.9
3 1 0, 36.3, 32.9
2 1 2, 40.8, 29.2
1 1 3, 50.7, 36.7
3 1 3, 61.5, 27.4

Cell and atoms:
```
data_H12AuC4N
_space_group_name_H-M_alt 'P 4/n m m'
_space_group_IT_number 129
_cell_length_a 7.8246
_cell_length_b 7.8246
_cell_length_c 5.7023
_cell_angle_alpha 90.00
_cell_angle_beta 90.00
_cell_angle_gamma 90.00
loop_
_space_group_symop_operation_xyz
'x,y,z'
'-x,-y,-z'
'-y+1/2,x,z'
'y+1/2,-x,-z'
'-x+1/2,-y+1/2,z'
'x+1/2,y+1/2,-z'
'y,-x+1/2,z'
'-y,x+1/2,-z'
'x+1/2,-y,-z'
'-x+1/2,y,z'
'-y,-x,-z'
'y,x,z'
'-x,y+1/2,-z'
'x,-y+1/2,z'
'y+1/2,x+1/2,-z'
'-y+1/2,-x+1/2,z'
loop_
_atom_site_label
_atom_site_type_symbol
_atom_site_fract_x
_atom_site_fract_y
_atom_site_fract_z
_atom_site_occupancy
H1 H 0.0197 0.2500 0.0380 1
H2 H 0.0968 0.6346 0.7382 1
Au1 Au 0.2500 0.2500 0.6652 1
C1 C 0.0937 0.7500 0.8474 1
N1 N 0.2500 0.7500 0.0000 1
```

---

The following is a calculated X-ray powder pattern of HAuC4N4O2. It was derived from a crystal structure in Alexandria, relaxed with GGA-PBE, using λ = 1.5418 Å (Cu Kα).
No peak broadening, texture or thermal motion is included.

Top 10 peaks for 2θ = 10–90°, low angle first:
hkl, two_theta, I/Imax
1 0 0, 13.7, 66.5
0 1 1, 15.8, 100.0
1 1 -1, 20.6, 84.2
1 1 1, 21.4, 60.6
0 2 0, 21.6, 31.2
0 0 2, 23.2, 37.5
1 2 0, 25.7, 47.3
2 1 -1, 31.4, 34.9
2 2 0, 35.4, 37.6
2 0 2, 37.3, 28.2

Cell and atoms:
```
data_HAuC4N4O2
_space_group_name_H-M_alt 'P 1 21/c 1'
_space_group_IT_number 14
_cell_length_a 6.4663
_cell_length_b 8.2237
_cell_length_c 7.6869
_cell_angle_alpha 90.00
_cell_angle_beta 93.13
_cell_angle_gamma 90.00
loop_
_space_group_symop_operation_xyz
'x,y,z'
'-x,-y,-z'
'-x,y+1/2,-z+1/2'
'x,-y+1/2,z+1/2'
loop_
_atom_site_label
_atom_site_type_symbol
_atom_site_fract_x
_atom_site_fract_y
_atom_site_fract_z
_atom_site_occupancy
H1 H 0.0000 0.0000 0.0000 1
Au1 Au 0.5000 0.0000 0.5000 1
C1 C 0.2448 0.1355 0.5274 1
C2 C 0.3907 0.5763 0.7640 1
N1 N 0.0963 0.2131 0.5444 1
N2 N 0.3368 0.6287 0.6276 1
O1 O 0.1140 0.5811 0.4092 1
```

---

The following is a calculated X-ray powder pattern of NaH12AuC4S4O12. It was derived from a crystal structure in Alexandria, relaxed with GGA-PBE, using λ = 1.5418 Å (Cu Kα).
No peak broadening, texture or thermal motion is included.

Top 10 peaks for 2θ = 10–90°, low angle first:
hkl, two_theta, I/Imax
0 1 0, 10.5, 47.7
0 1 1, 12.3, 58.9
1 0 0, 16.6, 31.4
1 1 1, 17.5, 100.0
1 2 1, 23.2, 25.2
-1 1 1, 23.4, 26.3
0 1 -2, 24.1, 31.0
0 2 2, 24.7, 29.7
1 2 2, 25.5, 23.4
1 2 -1, 29.7, 23.9

Cell and atoms:
```
data_NaH12AuC4S4O12
_space_group_name_H-M_alt 'P -1'
_space_group_IT_number 2
_cell_length_a 5.6030
_cell_length_b 8.8972
_cell_length_c 9.9249
_cell_angle_alpha 72.99
_cell_angle_beta 75.08
_cell_angle_gamma 77.48
loop_
_space_group_symop_operation_xyz
'x,y,z'
'-x,-y,-z'
loop_
_atom_site_label
_atom_site_type_symbol
_atom_site_fract_x
_atom_site_fract_y
_atom_site_fract_z
_atom_site_occupancy
Na1 Na 0.0000 0.0000 0.0000 1
H1 H 0.2698 0.5577 0.2880 1
H2 H 0.2713 0.0142 0.3721 1
H3 H 0.3222 0.2034 0.3803 1
H4 H 0.3445 0.6789 0.3843 1
H5 H 0.4092 0.1508 0.2101 1
H6 H 0.4334 0.4905 0.6567 1
Au1 Au 0.0000 0.5000 0.0000 1
C1 C 0.2765 0.1392 0.3137 1
C2 C 0.4198 0.6050 0.3072 1
S1 S 0.0278 0.7791 0.7177 1
S2 S 0.4478 0.2705 0.8581 1
O1 O 0.0177 0.5968 0.7845 1
O2 O 0.0802 0.8490 0.8200 1
O3 O 0.2007 0.7907 0.5794 1
O4 O 0.2406 0.2110 0.8386 1
O5 O 0.3511 0.8452 0.0880 1
O6 O 0.3556 0.3791 0.9655 1
```

---

The following is a calculated X-ray powder pattern of Hf2AuC. It was derived from a crystal structure in Alexandria, relaxed with GGA-PBE, using λ = 1.5418 Å (Cu Kα).
No peak broadening, texture or thermal motion is included.

Top 10 peaks for 2θ = 10–90°, low angle first:
hkl, two_theta, I/Imax
1 1 1, 34.1, 100.0
0 6 1, 36.7, 94.4
1 3 1, 37.3, 26.3
1 5 0, 38.1, 49.5
0 0 2, 38.7, 52.8
1 5 1, 42.9, 26.2
1 5 2, 55.4, 33.4
2 0 0, 56.8, 18.6
2 6 1, 69.6, 30.0
2 0 2, 70.9, 18.1

Cell and atoms:
```
data_Hf2AuC
_space_group_name_H-M_alt 'C m c m'
_space_group_IT_number 63
_space_group_name_Hall '-C 2c 2'
_cell_length_a 3.2400
_cell_length_b 17.2916
_cell_length_c 4.6485
_cell_angle_alpha 90.00
_cell_angle_beta 90.00
_cell_angle_gamma 90.00
loop_
_atom_site_label
_atom_site_type_symbol
_atom_site_fract_x
_atom_site_fract_y
_atom_site_fract_z
_atom_site_occupancy
Hf1 Hf 0.0000 0.1055 0.2500 1
Hf2 Hf 0.0000 0.2890 0.2500 1
Au1 Au 0.0000 0.4541 0.2500 1
C1 C 0.0000 0.3028 0.7500 1
```

---

Which formula does entry 2 have? HAuC4N4O2

---

What did the fourth record say?
The following is a calculated X-ray powder pattern of Hf2AuC. It was derived from a crystal structure in Alexandria, relaxed with GGA-PBE, using λ = 1.5418 Å (Cu Kα).
No peak broadening, texture or thermal motion is included.

Top 10 peaks for 2θ = 10–90°, low angle first:
hkl, two_theta, I/Imax
1 1 1, 34.1, 100.0
0 6 1, 36.7, 94.4
1 3 1, 37.3, 26.3
1 5 0, 38.1, 49.5
0 0 2, 38.7, 52.8
1 5 1, 42.9, 26.2
1 5 2, 55.4, 33.4
2 0 0, 56.8, 18.6
2 6 1, 69.6, 30.0
2 0 2, 70.9, 18.1

Cell and atoms:
```
data_Hf2AuC
_space_group_name_H-M_alt 'C m c m'
_space_group_IT_number 63
_space_group_name_Hall '-C 2c 2'
_cell_length_a 3.2400
_cell_length_b 17.2916
_cell_length_c 4.6485
_cell_angle_alpha 90.00
_cell_angle_beta 90.00
_cell_angle_gamma 90.00
loop_
_atom_site_label
_atom_site_type_symbol
_atom_site_fract_x
_atom_site_fract_y
_atom_site_fract_z
_atom_site_occupancy
Hf1 Hf 0.0000 0.1055 0.2500 1
Hf2 Hf 0.0000 0.2890 0.2500 1
Au1 Au 0.0000 0.4541 0.2500 1
C1 C 0.0000 0.3028 0.7500 1
```